(1)
# TlAgSb2Te4
Calculated powder diffraction line list, a wavelength of 1.5418 Å. Input: a cell relaxed with GGA-PBE.

Top 12 peaks for 10 to 90 degrees two-theta, low angle first:
2θ 28.32, intensity 100
2θ 28.91, intensity 45
2θ 40.25, intensity 19
2θ 40.72, intensity 19
2θ 40.92, intensity 71
2θ 50.31, intensity 19
2θ 50.71, intensity 19
2θ 58.59, intensity 13
2θ 66.65, intensity 25
2θ 67.56, intensity 14
2θ 73.61, intensity 12
2θ 74.25, intensity 12

Atomic structure:
abc: 7.6310 6.3023 7.6018
angles: 65.80 48.88 65.32
Atoms (fractional coordinates):
Tl 0.0000 0.0000 0.0000
Ag 0.5015 0.5015 0.4985
Sb 0.2496 0.2496 0.2504
Sb 0.7496 0.7496 0.7504
Te 0.2662 0.7318 0.2682
Te 0.4998 0.9994 0.5002
Te 0.7318 0.2662 0.7338
Te 0.9994 0.4998 0.0006


(2)
# Th6AgSb5
Calculated powder diffraction line list, a wavelength of 1.5418 Å. Input: a cell relaxed with GGA-PBE.

Top 12 peaks for 10 to 90 degrees two-theta, low angle first:
2θ 24.33, intensity 13
2θ 28.16, intensity 100
2θ 40.22, intensity 65
2θ 40.32, intensity 13
2θ 47.55, intensity 6
2θ 49.75, intensity 7
2θ 49.86, intensity 21
2θ 58.26, intensity 9
2θ 65.89, intensity 24
2θ 73.03, intensity 7
2θ 73.13, intensity 11
2θ 73.24, intensity 9

Atomic structure:
abc: 7.7562 7.7562 7.7661
angles: 99.64 99.64 119.82
Atoms (fractional coordinates):
Th 0.0802 0.4081 0.7435
Th 0.2438 0.2438 0.2494
Th 0.4081 0.0802 0.7435
Th 0.5919 0.9198 0.2565
Th 0.7562 0.7562 0.7506
Th 0.9198 0.5919 0.2565
Ag 0.0000 0.0000 0.5000
Sb 0.1722 0.8278 0.0000
Sb 0.3353 0.6647 0.5000
Sb 0.5000 0.5000 0.0000
Sb 0.6647 0.3353 0.5000
Sb 0.8278 0.1722 0.0000


(3)
# TiAgSb
Calculated powder diffraction line list, a wavelength of 1.5418 Å. Input: a cell relaxed with GGA-PBE.

Top 12 peaks for 10 to 90 degrees two-theta, low angle first:
2θ 25.56, intensity 30
2θ 29.72, intensity 62
2θ 32.44, intensity 35
2θ 38.23, intensity 36
2θ 38.77, intensity 21
2θ 39.60, intensity 100
2θ 46.52, intensity 32
2θ 49.60, intensity 13
2θ 55.58, intensity 14
2θ 61.72, intensity 16
2θ 70.03, intensity 17
2θ 75.13, intensity 17

Atomic structure:
abc: 13.9376 3.0587 3.0587
angles: 79.36 90.00 90.00
Atoms (fractional coordinates):
Ti 0.0000 0.0000 0.0000
Ti 0.5000 0.0084 0.0084
Ag 0.3548 0.5080 0.5080
Ag 0.6452 0.5080 0.5080
Sb 0.1480 0.4982 0.4982
Sb 0.8520 0.4982 0.4982


(4)
# Tl12AgSb7
Calculated powder diffraction line list, a wavelength of 1.5418 Å. Input: a cell relaxed with GGA-PBE.

Top 12 peaks for 10 to 90 degrees two-theta, low angle first:
2θ 26.53, intensity 51
2θ 29.18, intensity 47
2θ 29.36, intensity 71
2θ 30.79, intensity 82
2θ 31.62, intensity 21
2θ 31.89, intensity 100
2θ 34.07, intensity 75
2θ 35.32, intensity 27
2θ 36.22, intensity 41
2θ 50.51, intensity 27
2θ 52.21, intensity 28
2θ 65.10, intensity 22

Atomic structure:
abc: 9.1991 9.1991 9.1991
angles: 107.63 107.63 107.63
Atoms (fractional coordinates):
Tl 0.0848 0.1787 0.4070
Tl 0.1377 0.8210 0.3195
Tl 0.1787 0.4070 0.0848
Tl 0.1790 0.6805 0.8623
Tl 0.3195 0.1377 0.8210
Tl 0.4070 0.0848 0.1787
Tl 0.5930 0.9152 0.8213
Tl 0.6805 0.8623 0.1790
Tl 0.8210 0.3195 0.1377
Tl 0.8213 0.5930 0.9152
Tl 0.8623 0.1790 0.6805
Tl 0.9152 0.8213 0.5930
Ag 0.5000 0.5000 0.5000
Sb 0.0000 0.0000 0.0000
Sb 0.2053 0.5683 0.4915
Sb 0.4317 0.5085 0.7947
Sb 0.4915 0.2053 0.5683
Sb 0.5085 0.7947 0.4317
Sb 0.5683 0.4915 0.2053
Sb 0.7947 0.4317 0.5085


(5)
# Tl2Ag2Sb
Calculated powder diffraction line list, a wavelength of 1.5418 Å. Input: a cell relaxed with GGA-PBE.

Top 12 peaks for 10 to 90 degrees two-theta, low angle first:
2θ 25.32, intensity 7
2θ 26.95, intensity 6
2θ 30.63, intensity 23
2θ 32.99, intensity 100
2θ 37.87, intensity 22
2θ 38.48, intensity 30
2θ 54.68, intensity 14
2θ 55.09, intensity 21
2θ 56.19, intensity 7
2θ 65.31, intensity 14
2θ 71.49, intensity 12
2θ 80.95, intensity 7

Atomic structure:
abc: 7.3979 7.3979 4.7521
angles: 90.00 90.00 90.00
Atoms (fractional coordinates):
Tl 0.1673 0.3327 0.0000
Tl 0.3327 0.8327 0.0000
Tl 0.6673 0.1673 0.0000
Tl 0.8327 0.6673 0.0000
Ag 0.1378 0.6378 0.5000
Ag 0.3622 0.1378 0.5000
Ag 0.6378 0.8622 0.5000
Ag 0.8622 0.3622 0.5000
Sb 0.0000 0.0000 0.5000
Sb 0.5000 0.5000 0.5000


(6)
# Tl5Ag2Sb5
Calculated powder diffraction line list, a wavelength of 1.5418 Å. Input: a cell relaxed with GGA-PBE.

Top 12 peaks for 10 to 90 degrees two-theta, low angle first:
2θ 24.73, intensity 36
2θ 26.24, intensity 79
2θ 27.54, intensity 47
2θ 28.54, intensity 94
2θ 28.86, intensity 68
2θ 29.06, intensity 46
2θ 31.32, intensity 98
2θ 34.36, intensity 80
2θ 35.32, intensity 25
2θ 37.27, intensity 100
2θ 41.82, intensity 36
2θ 42.13, intensity 26

Atomic structure:
abc: 5.2731 6.8155 10.9105
angles: 83.00 79.20 75.19
Atoms (fractional coordinates):
Tl 0.0000 0.0000 0.0000
Tl 0.0740 0.2118 0.5523
Tl 0.2251 0.4752 0.0976
Tl 0.7749 0.5248 0.9024
Tl 0.9260 0.7882 0.4477
Ag 0.2468 0.0784 0.2665
Ag 0.7532 0.9216 0.7335
Sb 0.3047 0.7572 0.7295
Sb 0.3829 0.2979 0.7785
Sb 0.5000 0.5000 0.5000
Sb 0.6171 0.7021 0.2215
Sb 0.6953 0.2428 0.2705